No. 1
Simulated PXRD pattern of Ba2PaPbO6 for Cu Kα X-rays, from a GGA-PBE-relaxed structure.

Main lines, in order of rising 2θ (15 to 90 degrees two-theta):
two_theta  d (Å)  I/Imax
28.08  3.178  100.0
28.19  3.165  51.7
40.30  2.238  28.9
49.63  1.837  18.7
49.83  1.830  42.8
65.97  1.416  19.4

Structure:
```
Ba2PaPbO6
1.0
4.4763 0.0000 0.0000
0.0000 4.4763 0.0000
0.0000 0.0000 9.0229
Ba Pa Pb O
2 1 1 6
direct
0.0000 0.0000 0.2229 Ba
0.0000 0.0000 0.7771 Ba
0.5000 0.5000 0.5000 Pa
0.5000 0.5000 0.0000 Pb
0.0000 0.5000 0.0000 O
0.0000 0.5000 0.5000 O
0.5000 0.0000 0.0000 O
0.5000 0.0000 0.5000 O
0.5000 0.5000 0.2674 O
0.5000 0.5000 0.7326 O
```



No. 2
Simulated PXRD pattern of La3SmHo3 for Cu Kα X-rays, from a GGA-PBE-relaxed structure.

Main lines, in order of rising 2θ (15 to 90 degrees two-theta):
two_theta  d (Å)  I/Imax
28.46  3.136  45.4
29.15  3.063  100.0
34.61  2.591  40.4
37.55  2.395  67.3
50.94  1.793  30.1
59.39  1.556  34.1

Structure:
```
La3SmHo3
1.0
4.7428 2.7383 6.2723
-4.7428 2.7383 6.2723
0.0000 -5.4765 6.2723
La Sm Ho
6 2 6
direct
0.1278 0.2702 0.8347 La
0.1653 0.8722 0.7298 La
0.2702 0.8347 0.1278 La
0.7298 0.1653 0.8722 La
0.8347 0.1278 0.2702 La
0.8722 0.7298 0.1653 La
0.4087 0.4087 0.4087 Sm
0.5913 0.5913 0.5913 Sm
0.0255 0.3106 0.4457 Ho
0.3106 0.4457 0.0255 Ho
0.4457 0.0255 0.3106 Ho
0.5543 0.9745 0.6894 Ho
0.6894 0.5543 0.9745 Ho
0.9745 0.6894 0.5543 Ho
```